Record 1
Starting from the PBE geometry in the Materials Project, the XRD peak list of RuF6 was computed for copper Kα.
Lines closer than 0.1° are merged.

Cell lengths 9.3986, 8.5989, 4.9703 Å; angles 90.00, 90.00, 90.00 degrees
Space group Pnma (No. 62)
One atom of each set of equivalent atoms:
1 Ru 0.1293 0.2500 0.0809 x4
2 F 0.0137 0.2500 0.7770 x4
3 F 0.0152 0.0976 0.2361 x8
4 F 0.2430 0.0973 0.9267 x8
5 F 0.2453 0.2500 0.3849 x4

Peak list (10 most intense, 2θ from 5° to 70°, by angle)
hkl 1 0 1, 20.2°, intensity 44
hkl 0 2 0, 20.7°, intensity 85
hkl 2 1 0, 21.5°, intensity 100
hkl 1 1 1, 22.7°, intensity 69
hkl 1 2 1, 29.1°, intensity 29
hkl 2 3 0, 36.7°, intensity 18
hkl 2 3 1, 41.1°, intensity 30
hkl 3 0 2, 46.7°, intensity 31
hkl 5 3 1, 61.9°, intensity 15
hkl 0 6 0, 65.0°, intensity 19

=====

Record 2
Starting from the PBE geometry in the Materials Project, the XRD peak list of RuF6 was computed for copper Kα.
Lines closer than 0.1° are merged.

Cell lengths 6.3188, 6.3188, 6.3188 Å; angles 90.00, 90.00, 90.00 degrees
Space group Im-3m (No. 229)
One atom of each set of equivalent atoms:
1 Ru 0.0000 0.0000 0.0000 x2
2 F 0.0000 0.0000 0.2941 x12

Peak list (10 most intense, 2θ from 5° to 70°, by angle)
hkl 1 1 0, 19.9°, intensity 100
hkl 2 0 0, 28.2°, intensity 31
hkl 2 1 1, 34.8°, intensity 7
hkl 2 2 0, 40.4°, intensity 6
hkl 3 1 0, 45.4°, intensity 37
hkl 3 2 1, 54.3°, intensity 14
hkl 4 0 0, 58.4°, intensity 6
hkl 3 3 0, 62.3°, intensity 15
hkl 4 2 0, 66.1°, intensity 7
hkl 3 3 2, 69.8°, intensity 6

=====

Record 3
Starting from the PBE geometry in the Materials Project, the XRD peak list of RuF3 was computed for copper Kα.
Lines closer than 0.1° are merged.

Cell lengths 6.1989, 8.9287, 6.2888 Å; angles 90.00, 101.53, 90.00 degrees
Space group C2/c (No. 15)
One atom of each set of equivalent atoms:
1 Ru 0.0000 0.0000 0.0000 x4
2 F 0.0000 0.1475 0.2500 x4
3 F 0.2239 0.0966 0.8841 x8

Peak list (10 most intense, 2θ from 5° to 70°, by angle)
hkl 1 1 0, 17.7°, intensity 100
hkl 0 2 0, 19.9°, intensity 32
hkl 0 0 2, 29.0°, intensity 8
hkl 1 3 0, 33.5°, intensity 9
hkl 0 2 2, 35.4°, intensity 15
hkl 2 2 0, 35.8°, intensity 8
hkl 1 1 2, 36.7°, intensity 16
hkl 1 3 -2, 42.8°, intensity 11
hkl 3 1 0, 46.0°, intensity 8
hkl 0 4 2, 50.5°, intensity 11

=====

Record 4
Starting from the PBE geometry in the Materials Project, the XRD peak list of RuXeF7 was computed for copper Kα.
Lines closer than 0.1° are merged.

Cell lengths 7.3986, 11.5970, 11.0652 Å; angles 90.00, 131.58, 90.00 degrees
Space group P2_1/c (No. 14)
One atom of each set of equivalent atoms:
1 Ru 0.0327 0.0365 0.2526 x4
2 Xe 0.4112 0.7159 0.2440 x4
3 F 0.0241 0.6517 0.3897 x4
4 F 0.0790 0.5747 0.8951 x4
5 F 0.1369 0.0721 0.9166 x4
6 F 0.1746 0.1494 0.4162 x4
7 F 0.2909 0.5756 0.3152 x4
8 F 0.3250 0.5032 0.8093 x4
9 F 0.4588 0.1632 0.8097 x4

Peak list (10 most intense, 2θ from 5° to 70°, by angle)
hkl 1 1 0, 17.8°, intensity 9
hkl 0 2 1, 18.7°, intensity 18
hkl 0 0 2, 21.5°, intensity 39
hkl 1 2 -2, 22.2°, intensity 100
hkl 2 0 -2, 24.1°, intensity 16
hkl 2 1 -2, 25.3°, intensity 12
hkl 2 1 0, 33.3°, intensity 11
hkl 1 2 2, 38.0°, intensity 10
hkl 1 2 -4, 38.2°, intensity 13
hkl 1 4 -3, 39.9°, intensity 17